Structure and computed XRD peak list of Ba3InTe2O9 (a DFT-relaxed cell (PBE, Alexandria); a wavelength of 1.5418 Å).
Intensities are scaled so that the largest is 100.

Top 6 peaks for 2θ from 5° to 70°, sorted by position:
- 29.48°, I 100.0, (1 1 0)
- 36.31°, I 2.4, (0 0 3)
- 42.17°, I 30.2, (2 0 2)
- 52.29°, I 40.5, (3 0 0)
- 61.17°, I 18.9, (2 2 0)
- 69.34°, I 17.7, (3 1 2)

Cell and atoms:
Cell lengths 6.0621, 6.0621, 7.4190 Å; angles 90.00, 90.00, 120.00 degrees
Space group P-3m1 (No. 164)
Unique sites:
Ba  0.0000  0.0000  0.0000
Ba  0.3333  0.6667  0.6678
In  0.0000  0.0000  0.5000
Te  0.3333  0.6667  0.1731
O  0.0000  0.5000  0.0000
O  0.1723  0.3446  0.3308

Structure and computed XRD peak list of Ba3In2Te2O4 (a DFT-relaxed cell (PBE, Alexandria); a wavelength of 1.5418 Å).
Intensities are scaled so that the largest is 100.

Top 12 peaks for 2θ from 5° to 70°, sorted by position:
- 13.54°, I 11.6, (0 0 4)
- 28.24°, I 74.8, (1 1 0)
- 31.19°, I 100.0, (1 0 7)
- 35.07°, I 8.7, (1 1 6)
- 40.36°, I 38.6, (2 0 0)
- 43.08°, I 14.2, (1 0 11)
- 49.68°, I 7.6, (1 0 13)
- 51.88°, I 46.9, (2 1 7)
- 58.40°, I 12.6, (2 2 0)
- 60.50°, I 10.2, (2 1 11)
- 66.12°, I 13.6, (3 1 0)
- 67.71°, I 10.5, (3 0 7)

Cell and atoms:
Cell lengths 4.469, 4.469, 26.165 Å; angles 90.00, 90.00, 90.00 degrees
Space group I4/mmm (No. 139)
Unique sites:
Ba  0.000  0.000  0.000
Ba  0.000  0.000  0.146
In  0.000  0.000  0.415
Te  0.000  0.000  0.305
O  0.000  0.500  0.070

Structure and computed XRD peak list of Ba3Tl2InO6 (a DFT-relaxed cell (PBE, Alexandria); a wavelength of 1.5418 Å).
Intensities are scaled so that the largest is 100.

Top 12 peaks for 2θ from 5° to 70°, sorted by position:
- 20.71°, I 9.6, (1 0 1)
- 28.60°, I 100.0, (1 1 0)
- 30.28°, I 78.7, (0 1 2)
- 38.53°, I 10.6, (1 1 2)
- 42.13°, I 42.9, (2 0 2)
- 50.65°, I 20.8, (3 0 0)
- 51.71°, I 35.8, (1 2 2)
- 54.81°, I 14.0, (0 1 4)
- 59.20°, I 16.5, (2 2 0)
- 60.33°, I 5.2, (1 1 4)
- 62.98°, I 9.2, (0 2 4)
- 67.94°, I 16.1, (3 1 2)

Cell and atoms:
Cell lengths 6.2429, 6.2429, 7.0464 Å; angles 90.00, 90.00, 120.00 degrees
Space group P-3m1 (No. 164)
Unique sites:
Ba  0.0000  0.0000  0.0000
Ba  0.3333  0.6667  0.6122
Tl  0.3333  0.6667  0.1274
In  0.0000  0.0000  0.5000
O  0.1637  0.3273  0.3162

Structure and computed XRD peak list of Ba3UIn2O9 (a DFT-relaxed cell (PBE, Alexandria); a wavelength of 1.5418 Å).
Intensities are scaled so that the largest is 100.

Top 12 peaks for 2θ from 5° to 70°, sorted by position:
- 17.81°, I 5.1, (1 1 0)
- 20.60°, I 3.6, (0 2 0)
- 29.27°, I 100.0, (1 2 3)
- 29.39°, I 20.6, (2 0 0)
- 41.90°, I 34.3, (2 0 6)
- 51.88°, I 30.1, (2 4 0)
- 52.05°, I 16.4, (3 2 3)
- 60.73°, I 13.7, (2 4 6)
- 60.97°, I 3.8, (4 0 0)
- 68.77°, I 9.2, (1 6 3)
- 68.89°, I 6.5, (3 2 9)
- 69.02°, I 3.5, (4 0 6)

Cell and atoms:
Cell lengths 6.079, 8.636, 18.330 Å; angles 90.00, 90.00, 90.00 degrees
Space group Immm (No. 71)
Unique sites:
Ba  0.000  0.228  0.000
Ba  0.000  0.262  0.344
U  0.000  0.500  0.168
In  0.000  0.000  0.167
In  0.000  0.000  0.500
In  0.000  0.500  0.500
O  0.000  0.245  0.500
O  0.000  0.258  0.168
O  0.243  0.500  0.249
O  0.244  0.500  0.088
O  0.250  0.000  0.085